For MgP2H16O10, a cell relaxed with GGA-PBE gives the calculated X-ray powder pattern in this record (Cu Kα X-rays).

Cell and atoms:
```
58
Lattice="7.2715 0.0000 0.0000 0.0000 7.2715 0.0000 0.0000 0.0000 10.5286" Properties=species:S:1:pos:R:3 pbc="T T T"
Mg 1.8179 5.4536 2.6321
Mg 5.4536 1.8179 7.8964
P 1.8179 1.8179 0.1309
P 1.8179 1.8179 5.3952
P 5.4536 5.4536 5.1334
P 5.4536 5.4536 10.3977
H 0.3351 0.4625 2.0458
H 0.3351 3.1732 2.0458
H 0.4625 0.3351 7.3101
H 0.4625 3.3006 7.3101
H 0.7013 1.8179 4.5295
H 1.0061 5.4536 10.5067
H 1.8179 0.7013 9.7938
H 1.8179 2.9344 9.7938
H 1.8179 4.6418 5.2862
H 1.8179 6.2654 5.2862
H 2.6296 5.4536 10.5067
H 2.9344 1.8179 4.5295
H 3.1732 0.3351 7.3101
H 3.1732 3.3006 7.3101
H 3.3006 0.4625 2.0458
H 3.3006 3.1732 2.0458
H 3.9709 4.0983 8.4828
H 3.9709 6.8089 8.4828
H 4.0983 3.9709 3.2185
H 4.0983 6.9363 3.2185
H 4.3371 5.4536 5.9991
H 4.6418 1.8179 0.0219
H 5.4536 1.0061 5.2424
H 5.4536 2.6296 5.2424
H 5.4536 4.3371 0.7348
H 5.4536 6.5701 0.7348
H 6.2654 1.8179 0.0219
H 6.5701 5.4536 5.9991
H 6.8089 3.9709 3.2185
H 6.8089 6.9363 3.2185
H 6.9363 4.0983 8.4828
H 6.9363 6.8089 8.4828
O 0.3381 3.9738 2.6321
O 0.3381 6.9333 2.6321
O 0.5136 1.8179 0.9434
O 1.8179 0.5136 6.2077
O 1.8179 3.1222 6.2077
O 1.8179 5.4536 0.5472
O 1.8179 5.4536 4.7171
O 3.1222 1.8179 0.9434
O 3.2976 3.9738 2.6321
O 3.2976 6.9333 2.6321
O 3.9738 0.3381 7.8964
O 3.9738 3.2976 7.8964
O 4.1493 5.4536 9.5852
O 5.4536 1.8179 5.8115
O 5.4536 1.8179 9.9814
O 5.4536 4.1493 4.3209
O 5.4536 6.7579 4.3209
O 6.7579 5.4536 9.5852
O 6.9333 0.3381 7.8964
O 6.9333 3.2976 7.8964
```

Principal peaks in the range 2θ = 10–90°, by intensity:
h k l  Position (°2θ)  Rel. int.
2 0 2  29.87  1000
1 0 1  14.81  624
1 1 2  24.20  512
1 0 2  20.83  397
2 2 4  49.56  295
2 2 0  34.90  286
2 0 0  24.48  241
2 1 1  28.73  202
2 0 1  25.93  170
2 1 3  37.71  155

For MgP2H12O12, a cell relaxed with GGA-PBE gives the calculated X-ray powder pattern in this record (Cu Kα X-rays).

Cell and atoms:
```
54
Lattice="7.7697 0.0000 0.0000 2.3504 7.4369 0.0000 0.8105 3.4775 8.4967" Properties=species:S:1:pos:R:3 pbc="T T T"
Mg 1.9264 2.7476 2.4991
Mg 9.0041 8.1668 5.9976
P 1.4572 3.0728 5.8453
P 3.5551 6.3434 7.7472
P 7.3754 4.5710 0.7495
P 9.4734 7.8416 2.6515
H 1.4613 5.1527 6.7478
H 3.2222 6.4968 4.2988
H 3.7408 8.4462 7.3450
H 3.7635 6.7729 0.8323
H 2.4437 0.5142 0.5552
H 5.4289 10.2841 7.2782
H 3.8212 4.6696 3.2513
H 4.9464 7.6461 3.6320
H 4.4041 5.8211 5.0925
H 4.2668 3.9725 1.9059
H 6.2461 8.3946 3.1115
H 5.6714 6.0132 1.1131
H 5.2591 4.9012 7.3836
H 4.6845 2.5198 5.3852
H 6.6637 6.9419 6.5909
H 6.5264 5.0933 3.4043
H 5.9841 3.2683 4.8647
H 7.1093 6.2448 5.2454
H 5.5016 0.6303 1.2185
H 8.4869 10.4002 7.9416
H 7.1671 4.1415 7.6644
H 7.1897 2.4682 1.1517
H 7.7084 4.4176 4.1979
H 9.4693 5.7617 1.7490
O 2.2443 6.6375 1.7510
O 2.9895 9.2930 6.2666
O 1.3945 3.4358 4.3788
O 2.3060 6.4729 6.8693
O 2.5861 2.1520 0.5859
O 4.1553 7.7823 8.0037
O 2.9791 2.8634 6.2649
O 4.1209 6.0847 4.1835
O 4.6477 6.9594 0.4146
O 3.6783 3.8648 2.6735
O 5.2862 8.5072 3.2805
O 4.6387 5.5484 6.8831
O 6.2919 5.3660 1.6136
O 5.6443 2.4072 5.2162
O 7.2522 7.0496 5.8233
O 6.2829 3.9550 8.0822
O 6.8096 4.8297 4.3132
O 7.9515 8.0510 2.2318
O 6.7753 3.1321 0.4930
O 8.3444 8.7624 7.9108
O 8.6245 4.4415 1.6275
O 9.5361 7.4786 4.1179
O 7.9410 1.6214 2.2301
O 8.6863 4.2769 6.7457
```

Principal peaks in the range 2θ = 10–90°, by intensity:
h k l  Position (°2θ)  Rel. int.
1 0 0  11.95  1000
1 2 1  23.33  983
-1 1 3  32.76  745
1 0 -2  23.81  596
1 -1 0  20.00  594
1 1 3  30.56  418
2 2 0  29.89  381
0 1 3  29.22  381
2 0 -1  25.93  350
2 1 1  24.24  282

For Mg2PHO5, a cell relaxed with GGA-PBE gives the calculated X-ray powder pattern in this record (Cu Kα X-rays).

Cell and atoms:
```
36
Lattice="8.3641 0.0000 0.0000 0.0000 6.1973 0.0000 0.0000 0.0000 7.4539" Properties=species:S:1:pos:R:3 pbc="T T T"
Mg 0.0000 0.0000 0.0000
Mg 0.0000 3.0986 0.0000
Mg 1.4726 1.5493 3.1550
Mg 2.7095 4.6479 6.8820
Mg 4.1821 0.0000 3.7269
Mg 4.1821 3.0986 3.7269
Mg 5.6547 1.5493 0.5719
Mg 6.8916 4.6479 4.2988
P 1.4785 4.6479 2.4924
P 2.7036 1.5493 6.2193
P 5.6605 4.6479 1.2346
P 6.8857 1.5493 4.9615
H 0.4393 4.6479 5.4703
H 3.7428 1.5493 1.7433
H 4.6213 4.6479 5.7105
H 7.9249 1.5493 1.9836
O 0.1855 4.6479 3.2906
O 0.3355 1.5493 1.3857
O 1.1321 4.6479 0.9535
O 1.8571 0.2827 6.5290
O 1.8571 2.8160 6.5290
O 2.3250 3.3813 2.8020
O 2.3250 5.9146 2.8020
O 3.0500 1.5493 4.6804
O 3.8465 4.6479 5.1126
O 3.9966 1.5493 7.0175
O 4.3676 4.6479 0.4364
O 4.5176 1.5493 2.3413
O 5.3141 4.6479 2.7735
O 6.0391 0.2827 4.6518
O 6.0391 2.8160 4.6518
O 6.5071 3.3813 0.9249
O 6.5071 5.9146 0.9249
O 7.2321 1.5493 6.5004
O 8.0286 4.6479 6.0682
O 8.1786 1.5493 4.1633
```

Principal peaks in the range 2θ = 10–90°, by intensity:
h k l  Position (°2θ)  Rel. int.
1 0 2  26.18  1000
1 2 1  33.09  611
2 0 1  24.41  578
2 2 1  38.11  572
0 1 1  18.62  339
0 2 0  28.81  301
2 1 1  28.39  285
0 4 0  59.68  221
3 2 3  57.94  219
5 2 1  64.53  213